# 1
# LuNiPb
Computed powder X-ray diffraction pattern, copper Kα. Input: a crystal structure in the Materials Project, relaxed with PBE.
Peak positions follow from Bragg's law for the DFT cell and can differ from measured ones.

Structure:
abc: 7.4415 7.4415 3.8094
angles: 90.00 90.00 120.00
Space group P-62m (No. 189)
Inequivalent atoms, fractional coordinates:
Lu1 0.0000 0.5979 0.0000 x3
Ni1 0.0000 0.0000 0.0000 x1
Ni2 0.3333 0.6667 0.5000 x2
Pb1 0.0000 0.2656 0.5000 x3

Largest 10 diffraction maxima, low angle first, 5 to 70 degrees two-theta:
23.92°, intensity 14, (1 1 0); 33.67°, intensity 100, (1 1 1); 36.52°, intensity 46, (2 0 1); 36.90°, intensity 46, (2 1 0); 42.06°, intensity 26, (3 0 0); 47.75°, intensity 17, (0 0 2); 56.90°, intensity 14, (3 1 1); 61.83°, intensity 21, (2 1 2); 65.49°, intensity 14, (3 0 2); 68.02°, intensity 24, (3 2 1)

---

# 2
# Ag6P6O19
Computed powder X-ray diffraction pattern, copper Kα. Input: a crystal structure in the Materials Project, relaxed with PBE.
Peak positions follow from Bragg's law for the DFT cell and can differ from measured ones.

Structure:
abc: 15.0291 15.0291 6.6593
angles: 90.00 90.00 120.00
Space group R3 (No. 146, hexagonal axes)
Inequivalent atoms, fractional coordinates:
Ag1 0.0613 0.7994 0.0000 x9
Ag2 0.1326 0.4046 0.8266 x9
P1 0.0395 0.8347 0.5169 x9
P2 0.1680 0.4619 0.3099 x9
O1 0.0000 0.0000 0.0593 x3
O2 0.0104 0.2057 0.8443 x9
O3 0.0274 0.5767 0.2934 x9
O4 0.0439 0.1631 0.4891 x9
O5 0.1173 0.3607 0.1998 x9
O6 0.1381 0.6770 0.9822 x9
O7 0.1632 0.1193 0.6708 x9

Largest 10 diffraction maxima, low angle first, 5 to 70 degrees two-theta:
11.78°, intensity 42, (1 1 0); 19.07°, intensity 46, (0 2 1); 28.12°, intensity 32, (4 -3 1); 31.50°, intensity 100, (4 1 0); 32.47°, intensity 78, (1 2 2); 32.87°, intensity 22, (3 2 1); 44.47°, intensity 21, (4 3 1); 45.87°, intensity 27, (6 -2 2); 52.31°, intensity 20, (1 4 3); 56.70°, intensity 20, (5 3 2)